Diffraction record for KSbWO6. The powder diffraction line list is computed, not measured: it uses a crystal structure in Alexandria, relaxed with PBE+U and Cu Kα (λ = 1.5418 Å).
No peak broadening, texture or thermal motion is included.

Atomic structure:
Cell: 7.3679 7.3679 7.3679 Å, 120.65 90.02 119.34°
Sites, in units of the cell vectors:
K (0.1528, 0.2500, 0.4028)
K (0.8472, 0.7500, 0.5972)
Sb (0.4179, 0.4179, 0.0000)
Sb (0.4179, 0.9179, 0.5000)
W (0.4333, 0.9292, 0.0042)
W (0.9250, 0.4292, 0.9958)
O (0.0973, 0.2855, 0.9344)
O (0.0973, 0.6629, 0.3118)
O (0.1115, 0.6707, 0.9408)
O (0.3341, 0.1607, 0.6734)
O (0.3511, 0.1629, 0.0656)
O (0.3511, 0.7855, 0.6882)
O (0.4824, 0.0495, 0.3126)
O (0.4824, 0.6698, 0.9329)
O (0.4874, 0.6607, 0.3266)
O (0.7298, 0.1707, 0.0592)
O (0.7369, 0.1698, 0.6874)
O (0.7369, 0.5495, 0.0671)

Largest 8 diffraction maxima, most intense first, 2θ from 15° to 90°:
Position (°2θ), d_spacing, I (rel.)
28.3, 3.159, 100
29.9, 2.988, 100
29.5, 3.028, 87
49.5, 1.842, 61
28.6, 3.125, 48
28.5, 3.136, 44
34.4, 2.605, 43
58.4, 1.579, 34